Entry 1:
Theoretical powder X-ray diffraction pattern of In12SnHg4 for copper Kα, from a PBE-relaxed structure.

Largest 10 diffraction maxima, in order of rising 2θ, 2θ from 10° to 90°:
hkl 0 2 0, 26.67 deg, intensity 40
hkl 1 1 1, 29.49 deg, intensity 37
hkl 2 0 -2, 30.17 deg, intensity 31
hkl 1 1 -3, 30.43 deg, intensity 33
hkl 1 0 -3, 31.28 deg, intensity 22
hkl 2 -2 2, 31.53 deg, intensity 100
hkl 1 -3 1, 32.55 deg, intensity 36
hkl -3 1 1, 37.53 deg, intensity 24
hkl 0 2 -4, 38.21 deg, intensity 36
hkl 1 3 -3, 44.11 deg, intensity 21

```
data_In12SnHg4
_cell_length_a 7.355
_cell_length_b 8.354
_cell_length_c 9.579
_cell_angle_alpha 114.51
_cell_angle_beta 92.51
_cell_angle_gamma 114.50
_symmetry_space_group_name_H-M 'P -1'
_symmetry_Int_Tables_number 2
loop_
_symmetry_equiv_pos_as_xyz
'x,y,z'
'-x,-y,-z'
loop_
_atom_site_label
_atom_site_type_symbol
_atom_site_fract_x
_atom_site_fract_y
_atom_site_fract_z
_atom_site_occupancy
In1 In 0.017 0.316 0.343 1
In2 In 0.219 0.476 0.734 1
In3 In 0.278 0.022 0.270 1
In4 In 0.316 0.767 0.436 1
In5 In 0.340 0.434 0.111 1
In6 In 0.344 0.121 0.778 1
Sn1 Sn 0.000 0.000 0.000 1
Hg1 Hg 0.000 0.000 0.500 1
Hg2 Hg 0.000 0.500 0.000 1
Hg3 Hg 0.500 0.000 0.000 1
Hg4 Hg 0.500 0.500 0.500 1
```

***

Entry 2:
Theoretical powder X-ray diffraction pattern of In7Sn5Hg for copper Kα, from a PBE-relaxed structure.

Largest 10 diffraction maxima, in order of rising 2θ, 2θ from 10° to 90°:
hkl 1 3 -1, 29.10 deg, intensity 22
hkl 2 2 1, 30.02 deg, intensity 29
hkl 4 0 -1, 30.82 deg, intensity 100
hkl 1 3 1, 31.05 deg, intensity 44
hkl 3 1 1, 32.46 deg, intensity 43
hkl 2 4 0, 32.80 deg, intensity 27
hkl 2 4 -1, 36.57 deg, intensity 36
hkl 1 1 -2, 38.45 deg, intensity 29
hkl 5 3 0, 42.40 deg, intensity 25
hkl 0 8 0, 61.11 deg, intensity 20

```
data_In7Sn5Hg
_cell_length_a 12.828
_cell_length_b 12.134
_cell_length_c 4.774
_cell_angle_alpha 90.00
_cell_angle_beta 102.12
_cell_angle_gamma 90.00
_symmetry_space_group_name_H-M 'C 1 m 1'
_symmetry_Int_Tables_number 8
loop_
_symmetry_equiv_pos_as_xyz
'x,y,z'
'x,-y,z'
'x+1/2,y+1/2,z'
'x+1/2,-y+1/2,z'
loop_
_atom_site_label
_atom_site_type_symbol
_atom_site_fract_x
_atom_site_fract_y
_atom_site_fract_z
_atom_site_occupancy
In1 In 0.000 0.000 0.000 1
In2 In 0.008 0.268 0.003 1
In3 In 0.159 0.000 0.574 1
In4 In 0.237 0.500 0.917 1
In5 In 0.386 0.361 0.450 1
Sn1 Sn 0.074 0.500 0.319 1
Sn2 Sn 0.171 0.269 0.593 1
Sn3 Sn 0.290 0.138 0.137 1
Hg1 Hg 0.416 0.000 0.698 1
```

***

Entry 3:
Theoretical powder X-ray diffraction pattern of In9SnHg6 for copper Kα, from a PBE-relaxed structure.

Largest 10 diffraction maxima, in order of rising 2θ, 2θ from 10° to 90°:
hkl 2 2 -1, 26.13 deg, intensity 14
hkl 1 3 -1, 30.22 deg, intensity 100
hkl 4 0 1, 31.79 deg, intensity 81
hkl 3 3 -1, 32.91 deg, intensity 17
hkl 5 3 0, 35.13 deg, intensity 61
hkl 6 0 -1, 35.64 deg, intensity 49
hkl 0 4 1, 36.34 deg, intensity 15
hkl 4 4 0, 37.03 deg, intensity 17
hkl 2 0 -2, 40.94 deg, intensity 41
hkl 3 3 2, 52.38 deg, intensity 19

```
data_In9SnHg6
_cell_length_a 16.817
_cell_length_b 11.968
_cell_length_c 4.437
_cell_angle_alpha 90.00
_cell_angle_beta 98.59
_cell_angle_gamma 90.00
_symmetry_space_group_name_H-M 'C 1 2/m 1'
_symmetry_Int_Tables_number 12
loop_
_symmetry_equiv_pos_as_xyz
'x,y,z'
'-x,-y,-z'
'-x,y,-z'
'x,-y,z'
'x+1/2,y+1/2,z'
'-x+1/2,-y+1/2,-z'
'-x+1/2,y+1/2,-z'
'x+1/2,-y+1/2,z'
loop_
_atom_site_label
_atom_site_type_symbol
_atom_site_fract_x
_atom_site_fract_y
_atom_site_fract_z
_atom_site_occupancy
In1 In 0.000 0.000 0.000 1
In2 In 0.111 0.353 0.577 1
In3 In 0.193 0.175 0.180 1
Sn1 Sn 0.000 0.500 0.000 1
Hg1 Hg 0.000 0.241 0.000 1
Hg2 Hg 0.123 0.000 0.586 1
Hg3 Hg 0.200 0.500 0.135 1
```

***

Entry 4:
Theoretical powder X-ray diffraction pattern of In6SnHg9 for copper Kα, from a PBE-relaxed structure.

Largest 10 diffraction maxima, in order of rising 2θ, 2θ from 10° to 90°:
hkl -2 1 2, 32.28 deg, intensity 51
hkl 1 2 0, 32.39 deg, intensity 51
hkl 2 -1 1, 32.49 deg, intensity 100
hkl -3 1 1, 34.03 deg, intensity 77
hkl 3 1 -2, 34.09 deg, intensity 26
hkl 4 0 -2, 43.47 deg, intensity 11
hkl 0 0 3, 43.98 deg, intensity 21
hkl 4 1 -4, 50.38 deg, intensity 11
hkl 5 -2 0, 64.43 deg, intensity 21
hkl 6 0 -3, 67.48 deg, intensity 12

```
data_In6SnHg9
_cell_length_a 8.326
_cell_length_b 8.330
_cell_length_c 8.512
_cell_angle_alpha 118.82
_cell_angle_beta 119.27
_cell_angle_gamma 90.24
_symmetry_space_group_name_H-M 'P -1'
_symmetry_Int_Tables_number 2
loop_
_symmetry_equiv_pos_as_xyz
'x,y,z'
'-x,-y,-z'
loop_
_atom_site_label
_atom_site_type_symbol
_atom_site_fract_x
_atom_site_fract_y
_atom_site_fract_z
_atom_site_occupancy
In1 In 0.156 0.365 0.020 1
In2 In 0.243 0.260 0.495 1
In3 In 0.338 0.838 0.971 1
Sn1 Sn 0.500 0.500 0.000 1
Hg1 Hg 0.000 0.000 0.000 1
Hg2 Hg 0.020 0.537 0.343 1
Hg3 Hg 0.195 0.006 0.677 1
Hg4 Hg 0.311 0.828 0.324 1
Hg5 Hg 0.488 0.695 0.662 1
```

***

Entry 5:
Theoretical powder X-ray diffraction pattern of In11SnHg17 for copper Kα, from a PBE-relaxed structure.

Largest 10 diffraction maxima, in order of rising 2θ, 2θ from 10° to 90°:
hkl 2 0 2, 30.11 deg, intensity 26
hkl 4 0 -2, 31.14 deg, intensity 86
hkl 0 4 2, 32.63 deg, intensity 30
hkl 1 5 1, 32.84 deg, intensity 100
hkl 4 2 -2, 33.31 deg, intensity 45
hkl 4 0 1, 33.72 deg, intensity 30
hkl 0 0 3, 34.28 deg, intensity 27
hkl 3 5 0, 36.34 deg, intensity 25
hkl 1 5 -2, 36.60 deg, intensity 28
hkl 3 3 -3, 39.28 deg, intensity 24

```
data_In11SnHg17
_cell_length_a 13.036
_cell_length_b 15.353
_cell_length_c 8.181
_cell_angle_alpha 90.00
_cell_angle_beta 106.40
_cell_angle_gamma 90.00
_symmetry_space_group_name_H-M 'C 1 m 1'
_symmetry_Int_Tables_number 8
loop_
_symmetry_equiv_pos_as_xyz
'x,y,z'
'x,-y,z'
'x+1/2,y+1/2,z'
'x+1/2,-y+1/2,z'
loop_
_atom_site_label
_atom_site_type_symbol
_atom_site_fract_x
_atom_site_fract_y
_atom_site_fract_z
_atom_site_occupancy
In1 In 0.000 0.000 0.000 1
In2 In 0.035 0.102 0.367 1
In3 In 0.094 0.255 0.932 1
In4 In 0.184 0.392 0.674 1
In5 In 0.299 0.302 0.320 1
In6 In 0.388 0.117 0.996 1
Sn1 Sn 0.280 0.000 0.517 1
Hg1 Hg 0.018 0.500 0.829 1
Hg2 Hg 0.060 0.300 0.308 1
Hg3 Hg 0.176 0.000 0.817 1
Hg4 Hg 0.214 0.191 0.663 1
Hg5 Hg 0.217 0.114 0.184 1
Hg6 Hg 0.232 0.500 0.376 1
Hg7 Hg 0.257 0.500 0.030 1
Hg8 Hg 0.373 0.320 0.996 1
Hg9 Hg 0.435 0.169 0.582 1
Hg10 Hg 0.439 0.386 0.667 1
Hg11 Hg 0.474 0.000 0.335 1
```

***

Entry 6:
Theoretical powder X-ray diffraction pattern of In12Sn2Hg7 for copper Kα, from a PBE-relaxed structure.

Largest 10 diffraction maxima, in order of rising 2θ, 2θ from 10° to 90°:
hkl -2 2 1, 29.62 deg, intensity 31
hkl 1 2 -2, 31.45 deg, intensity 55
hkl -1 2 2, 31.61 deg, intensity 35
hkl 2 -2 2, 31.71 deg, intensity 35
hkl 1 2 1, 32.43 deg, intensity 53
hkl 0 2 -3, 32.90 deg, intensity 33
hkl 2 0 2, 33.04 deg, intensity 53
hkl 2 1 -2, 33.79 deg, intensity 61
hkl 2 -3 0, 33.94 deg, intensity 100
hkl 3 -2 0, 36.21 deg, intensity 42

```
data_In12Sn2Hg7
_cell_length_a 7.703
_cell_length_b 8.798
_cell_length_c 9.266
_cell_angle_alpha 101.87
_cell_angle_beta 90.54
_cell_angle_gamma 109.68
_symmetry_space_group_name_H-M 'P 1'
_symmetry_Int_Tables_number 1
loop_
_symmetry_equiv_pos_as_xyz
'x,y,z'
loop_
_atom_site_label
_atom_site_type_symbol
_atom_site_fract_x
_atom_site_fract_y
_atom_site_fract_z
_atom_site_occupancy
In1 In 0.000 0.000 0.000 1
In2 In 0.000 0.398 0.534 1
In3 In 0.074 0.758 0.448 1
In4 In 0.107 0.602 0.873 1
In5 In 0.352 0.581 0.224 1
In6 In 0.383 0.976 0.829 1
In7 In 0.432 0.409 0.760 1
In8 In 0.433 0.086 0.496 1
In9 In 0.572 0.762 0.972 1
In10 In 0.632 0.446 0.414 1
In11 In 0.694 0.114 0.209 1
In12 In 0.750 0.920 0.445 1
Sn1 Sn 0.073 0.102 0.698 1
Sn2 Sn 0.412 0.681 0.579 1
Hg1 Hg 0.172 0.206 0.322 1
Hg2 Hg 0.267 0.889 0.164 1
Hg3 Hg 0.481 0.303 0.058 1
Hg4 Hg 0.744 0.237 0.767 1
Hg5 Hg 0.820 0.662 0.161 1
Hg6 Hg 0.825 0.707 0.719 1
Hg7 Hg 0.975 0.364 0.075 1
```

***

Entry 7:
Theoretical powder X-ray diffraction pattern of In10Sn3Hg3 for copper Kα, from a PBE-relaxed structure.

Largest 10 diffraction maxima, in order of rising 2θ, 2θ from 10° to 90°:
hkl -1 1 2, 30.18 deg, intensity 37
hkl 1 1 -3, 31.74 deg, intensity 57
hkl 2 -2 1, 32.31 deg, intensity 39
hkl 2 1 0, 32.41 deg, intensity 65
hkl 2 -2 0, 32.98 deg, intensity 42
hkl 1 -1 3, 33.31 deg, intensity 75
hkl 0 3 -1, 33.89 deg, intensity 100
hkl 1 2 -3, 34.40 deg, intensity 37
hkl 1 0 3, 37.45 deg, intensity 40
hkl 3 0 -2, 44.51 deg, intensity 33

```
data_In10Sn3Hg3
_cell_length_a 6.678
_cell_length_b 8.161
_cell_length_c 9.142
_cell_angle_alpha 115.54
_cell_angle_beta 92.67
_cell_angle_gamma 99.68
_symmetry_space_group_name_H-M 'P 1'
_symmetry_Int_Tables_number 1
loop_
_symmetry_equiv_pos_as_xyz
'x,y,z'
loop_
_atom_site_label
_atom_site_type_symbol
_atom_site_fract_x
_atom_site_fract_y
_atom_site_fract_z
_atom_site_occupancy
In1 In 0.000 0.000 0.000 1
In2 In 0.006 0.972 0.610 1
In3 In 0.098 0.742 0.205 1
In4 In 0.231 0.588 0.478 1
In5 In 0.423 0.322 0.709 1
In6 In 0.544 0.918 0.440 1
In7 In 0.612 0.116 0.184 1
In8 In 0.682 0.691 0.706 1
In9 In 0.745 0.545 0.335 1
In10 In 0.832 0.313 0.923 1
Sn1 Sn 0.409 0.995 0.814 1
Sn2 Sn 0.619 0.688 0.058 1
Sn3 Sn 0.867 0.307 0.556 1
Hg1 Hg 0.170 0.634 0.850 1
Hg2 Hg 0.220 0.166 0.352 1
Hg3 Hg 0.303 0.382 0.098 1
```

***

Entry 8:
Theoretical powder X-ray diffraction pattern of ThInSnHg for copper Kα, from a PBE-relaxed structure.

Largest 10 diffraction maxima, in order of rising 2θ, 2θ from 10° to 90°:
hkl 1 1 1, 32.86 deg, intensity 100
hkl 0 0 2, 36.66 deg, intensity 19
hkl 0 2 0, 38.79 deg, intensity 16
hkl 2 0 0, 38.90 deg, intensity 16
hkl 2 0 2, 54.47 deg, intensity 24
hkl 2 2 0, 56.10 deg, intensity 11
hkl 1 1 3, 63.61 deg, intensity 15
hkl 1 3 1, 66.50 deg, intensity 13
hkl 3 1 1, 66.64 deg, intensity 13
hkl 2 2 2, 68.90 deg, intensity 12

```
data_ThInSnHg
_cell_length_a 4.631
_cell_length_b 4.643
_cell_length_c 4.903
_cell_angle_alpha 90.00
_cell_angle_beta 90.00
_cell_angle_gamma 90.00
_symmetry_space_group_name_H-M 'P m m m'
_symmetry_Int_Tables_number 47
loop_
_symmetry_equiv_pos_as_xyz
'x,y,z'
'-x,-y,-z'
'-x,-y,z'
'x,y,-z'
'x,-y,-z'
'-x,y,z'
'-x,y,-z'
'x,-y,z'
loop_
_atom_site_label
_atom_site_type_symbol
_atom_site_fract_x
_atom_site_fract_y
_atom_site_fract_z
_atom_site_occupancy
Th1 Th 0.000 0.000 0.000 1
In1 In 0.500 0.000 0.500 1
Sn1 Sn 0.500 0.500 0.000 1
Hg1 Hg 0.000 0.500 0.500 1
```

***

Entry 9:
Theoretical powder X-ray diffraction pattern of Tl2In2SnHg for copper Kα, from a PBE-relaxed structure.

Largest 10 diffraction maxima, in order of rising 2θ, 2θ from 10° to 90°:
hkl 0 1 2, 28.73 deg, intensity 14
hkl 1 0 2, 31.88 deg, intensity 36
hkl 1 3 0, 32.40 deg, intensity 100
hkl 2 0 0, 33.07 deg, intensity 84
hkl 1 1 2, 33.24 deg, intensity 49
hkl 1 2 2, 37.06 deg, intensity 19
hkl 0 3 2, 39.23 deg, intensity 16
hkl 2 2 2, 47.45 deg, intensity 21
hkl 2 3 2, 52.25 deg, intensity 16
hkl 3 3 0, 58.70 deg, intensity 20

```
data_Tl2In2SnHg
_cell_length_a 5.412
_cell_length_b 9.641
_cell_length_c 6.566
_cell_angle_alpha 90.00
_cell_angle_beta 90.00
_cell_angle_gamma 90.00
_symmetry_space_group_name_H-M 'P m c 21'
_symmetry_Int_Tables_number 26
loop_
_symmetry_equiv_pos_as_xyz
'x,y,z'
'-x,-y,z+1/2'
'-x,y,z'
'x,-y,z+1/2'
loop_
_atom_site_label
_atom_site_type_symbol
_atom_site_fract_x
_atom_site_fract_y
_atom_site_fract_z
_atom_site_occupancy
Tl1 Tl 0.000 0.027 0.000 1
Tl2 Tl 0.500 0.161 0.306 1
In1 In 0.000 0.360 0.096 1
In2 In 0.500 0.204 0.807 1
Sn1 Sn 0.000 0.313 0.582 1
Hg1 Hg 0.500 0.495 0.514 1
```

***

Entry 10:
Theoretical powder X-ray diffraction pattern of TlInSnHg4 for copper Kα, from a PBE-relaxed structure.

Largest 10 diffraction maxima, in order of rising 2θ, 2θ from 10° to 90°:
hkl 2 0 0, 18.83 deg, intensity 55
hkl 2 2 0, 22.12 deg, intensity 98
hkl 1 1 2, 29.35 deg, intensity 96
hkl 0 2 2, 29.55 deg, intensity 50
hkl 1 5 0, 30.58 deg, intensity 82
hkl 2 4 1, 33.01 deg, intensity 100
hkl 2 0 2, 33.22 deg, intensity 50
hkl 1 3 2, 33.75 deg, intensity 43
hkl 4 0 0, 38.19 deg, intensity 74
hkl 2 4 2, 40.88 deg, intensity 55

```
data_TlInSnHg4
_cell_length_a 9.426
_cell_length_b 15.376
_cell_length_c 6.576
_cell_angle_alpha 90.00
_cell_angle_beta 90.00
_cell_angle_gamma 90.00
_symmetry_space_group_name_H-M 'C m c m'
_symmetry_Int_Tables_number 63
_symmetry_space_group_name_Hall '-C 2c 2'
loop_
_atom_site_label
_atom_site_type_symbol
_atom_site_fract_x
_atom_site_fract_y
_atom_site_fract_z
_atom_site_occupancy
Tl1 Tl 0.000 0.104 0.250 1
In1 In 0.000 0.156 0.750 1
Sn1 Sn 0.000 0.500 0.000 1
Hg1 Hg 0.000 0.307 0.017 1
Hg2 Hg 0.243 0.047 0.750 1
```

***

Entry 11:
Theoretical powder X-ray diffraction pattern of SrIn4Hg4 for copper Kα, from a PBE-relaxed structure.

Largest 10 diffraction maxima, in order of rising 2θ, 2θ from 10° to 90°:
hkl 0 0 2, 15.26 deg, intensity 28
hkl 2 0 1, 27.69 deg, intensity 52
hkl 0 0 4, 30.79 deg, intensity 48
hkl 1 0 4, 33.63 deg, intensity 22
hkl 2 0 3, 35.41 deg, intensity 100
hkl 2 2 0, 37.95 deg, intensity 41
hkl 2 2 2, 41.12 deg, intensity 21
hkl 4 0 0, 54.75 deg, intensity 18
hkl 4 2 1, 62.45 deg, intensity 17
hkl 4 2 3, 66.91 deg, intensity 28

```
data_SrIn4Hg4
_cell_length_a 6.706
_cell_length_b 6.706
_cell_length_c 11.615
_cell_angle_alpha 90.00
_cell_angle_beta 90.00
_cell_angle_gamma 90.00
_symmetry_space_group_name_H-M 'P 42/n m c'
_symmetry_Int_Tables_number 137
loop_
_symmetry_equiv_pos_as_xyz
'x,y,z'
'-x,-y,-z'
'-y+1/2,x,z+1/2'
'y+1/2,-x,-z+1/2'
'-x+1/2,-y+1/2,z'
'x+1/2,y+1/2,-z'
'y,-x+1/2,z+1/2'
'-y,x+1/2,-z+1/2'
'x+1/2,-y,-z'
'-x+1/2,y,z'
'-y,-x,-z+1/2'
'y,x,z+1/2'
'-x,y+1/2,-z'
'x,-y+1/2,z'
'y+1/2,x+1/2,-z+1/2'
'-y+1/2,-x+1/2,z+1/2'
loop_
_atom_site_label
_atom_site_type_symbol
_atom_site_fract_x
_atom_site_fract_y
_atom_site_fract_z
_atom_site_occupancy
Sr1 Sr 0.250 0.750 0.250 1
In1 In 0.030 0.250 0.185 1
Hg1 Hg 0.008 0.250 0.478 1
```

***

Entry 12:
Theoretical powder X-ray diffraction pattern of Sr3In3Hg2 for copper Kα, from a PBE-relaxed structure.

Largest 10 diffraction maxima, in order of rising 2θ, 2θ from 10° to 90°:
hkl 0 2 0, 14.74 deg, intensity 42
hkl 1 1 1, 20.04 deg, intensity 30
hkl 1 1 4, 28.87 deg, intensity 100
hkl 1 3 1, 29.11 deg, intensity 46
hkl 0 0 6, 32.11 deg, intensity 26
hkl 1 3 3, 32.89 deg, intensity 88
hkl 0 4 3, 33.88 deg, intensity 32
hkl 1 3 4, 35.91 deg, intensity 78
hkl 2 0 0, 36.12 deg, intensity 66
hkl 1 1 7, 42.63 deg, intensity 44

```
data_Sr3In3Hg2
_cell_length_a 4.974
_cell_length_b 12.023
_cell_length_c 16.725
_cell_angle_alpha 90.00
_cell_angle_beta 90.00
_cell_angle_gamma 90.00
_symmetry_space_group_name_H-M 'C m c m'
_symmetry_Int_Tables_number 63
_symmetry_space_group_name_Hall '-C 2c 2'
loop_
_atom_site_label
_atom_site_type_symbol
_atom_site_fract_x
_atom_site_fract_y
_atom_site_fract_z
_atom_site_occupancy
Sr1 Sr 0.000 0.090 0.108 1
Sr2 Sr 0.000 0.362 0.250 1
In1 In 0.000 0.352 0.750 1
In2 In 0.000 0.384 0.037 1
Hg1 Hg 0.000 0.204 0.605 1
```